This entry pairs a crystal structure of CuBiSe2Br with its calculated XRD peak list. Radiation: Cu Kα (weighted mean of Kα1 and Kα2). Structure: a cell relaxed with PBE.
Kinematic intensities with the Lorentz-polarization factor, no thermal factor.

Crystal structure
Cell: 7.0683 4.4215 10.5781 Å, 90.00 108.90 90.00°
Space group P2_1/m (No. 11)
Symmetry-distinct sites (fractional):
1 Cu 0.1391 0.2500 0.1476 [2 per cell]
2 Bi 0.1697 0.2500 0.6845 [2 per cell]
3 Se 0.0015 0.2500 0.8952 [2 per cell]
4 Se 0.1090 0.2500 0.3773 [2 per cell]
5 Br 0.4758 0.7500 0.8081 [2 per cell]

The 10 most intense peaks (2θ from 15° to 90°), in order of rising 2θ:
| 2θ/deg | intensity | hkl |
| --- | --- | --- |
| 17.7 | 52 | 0 0 2 |
| 24.1 | 100 | 1 1 0 |
| 25.7 | 36 | 1 0 -3 |
| 27.2 | 45 | 1 1 1 |
| 33.6 | 68 | 2 1 0 |
| 33.9 | 40 | 1 0 -4 |
| 37.3 | 49 | 2 0 -4 |
| 40.8 | 44 | 0 2 0 |
| 41.5 | 42 | 0 1 4 |
| 49.6 | 32 | 3 1 -4 |